Entry 1:
Diffraction record for CeCuSi2Ru. The powder XRD pattern is simulated, not measured: it uses a DFT-relaxed cell (PBE, the Materials Project) and Cu Kα (weighted mean of Kα1 and Kα2).
Intensities are scaled so that the largest is 100.

Top 6 peaks for 5 to 70 degrees two-theta, in order of falling intensity:
- 2θ = 36.1°, d 2.490, I = 100, (1 1 2)
- 2θ = 45.0°, d 2.016, I = 36, (2 0 0)
- 2θ = 34.5°, d 2.603, I = 36, (1 0 3)
- 2θ = 23.7°, d 3.751, I = 30, (1 0 1)
- 2θ = 35.1°, d 2.555, I = 18, (0 0 4)
- 2θ = 63.6°, d 1.462, I = 17, (1 1 6)

Structure:
Cell lengths 4.033, 4.033, 10.221 Å; angles 90.00, 90.00, 90.00 degrees
Space group I-4m2 (No. 119)
Symmetry-distinct sites (fractional):
Ce1 0.000 0.000 0.000 (multiplicity 2)
Cu1 0.000 0.500 0.750 (multiplicity 2)
Si1 0.000 0.000 0.381 (multiplicity 4)
Ru1 0.000 0.500 0.250 (multiplicity 2)

***

Entry 2:
Diffraction record for CeCuS2. The powder XRD pattern is simulated, not measured: it uses a DFT-relaxed cell (PBE, the Materials Project) and Cu Kα (weighted mean of Kα1 and Kα2).
Intensities are scaled so that the largest is 100.

Top 6 peaks for 5 to 70 degrees two-theta, in order of falling intensity:
- 2θ = 23.8°, d 3.744, I = 100, (1 1 1)
- 2θ = 31.8°, d 2.817, I = 72, (2 1 -1)
- 2θ = 36.2°, d 2.478, I = 43, (0 2 2)
- 2θ = 30.6°, d 2.926, I = 37, (1 2 -1)
- 2θ = 33.7°, d 2.656, I = 35, (1 1 2)
- 2θ = 37.6°, d 2.391, I = 33, (2 2 0)

Structure:
Cell lengths 6.458, 7.199, 6.899 Å; angles 90.00, 97.80, 90.00 degrees
Space group P2_1/c (No. 14)
Symmetry-distinct sites (fractional):
Ce1 0.189 0.052 0.300 (multiplicity 4)
Cu1 0.431 0.666 0.461 (multiplicity 4)
S1 0.088 0.727 0.500 (multiplicity 4)
S2 0.409 0.116 0.717 (multiplicity 4)

***

Copy entry 1 word for word.
Diffraction record for CeCuSi2Ru. The powder XRD pattern is simulated, not measured: it uses a DFT-relaxed cell (PBE, the Materials Project) and Cu Kα (weighted mean of Kα1 and Kα2).
Intensities are scaled so that the largest is 100.

Top 6 peaks for 5 to 70 degrees two-theta, in order of falling intensity:
- 2θ = 36.1°, d 2.490, I = 100, (1 1 2)
- 2θ = 45.0°, d 2.016, I = 36, (2 0 0)
- 2θ = 34.5°, d 2.603, I = 36, (1 0 3)
- 2θ = 23.7°, d 3.751, I = 30, (1 0 1)
- 2θ = 35.1°, d 2.555, I = 18, (0 0 4)
- 2θ = 63.6°, d 1.462, I = 17, (1 1 6)

Structure:
Cell lengths 4.033, 4.033, 10.221 Å; angles 90.00, 90.00, 90.00 degrees
Space group I-4m2 (No. 119)
Symmetry-distinct sites (fractional):
Ce1 0.000 0.000 0.000 (multiplicity 2)
Cu1 0.000 0.500 0.750 (multiplicity 2)
Si1 0.000 0.000 0.381 (multiplicity 4)
Ru1 0.000 0.500 0.250 (multiplicity 2)